(1)
Simulated PXRD pattern of Li2FeP2O8 for CuKα, from a GGA+U-relaxed structure.

Principal peaks in the range 10° ≤ 2θ ≤ 90°, by intensity:
2theta	intensity	hkl
16.07	100	0 1 1
23.24	58	1 1 0
24.13	50	1 1 -2
30.27	36	1 2 0
25.98	35	0 1 2
21.40	27	1 0 -2
34.99	19	2 0 -2
32.46	18	0 2 2
37.88	17	1 3 -1
30.97	17	1 2 -2

Structural model:
```
data_Li2FeP2O8
_space_group_name_H-M_alt 'P 1 21/c 1'
_space_group_IT_number 14
_cell_length_a 5.1357
_cell_length_b 8.0398
_cell_length_c 8.9473
_cell_angle_alpha 90.00
_cell_angle_beta 122.06
_cell_angle_gamma 90.00
loop_
_space_group_symop_operation_xyz
'x,y,z'
'-x,-y,-z'
'-x,y+1/2,-z+1/2'
'x,-y+1/2,z+1/2'
loop_
_atom_site_label
_atom_site_fract_x
_atom_site_fract_y
_atom_site_fract_z
Li1 0.0103 0.1387 0.0955
Fe1 0.0000 0.0000 0.5000
P1 0.3347 0.6958 0.8069
O1 0.1986 0.5738 0.6518
O2 0.2036 0.6264 0.2451
O3 0.2496 0.6438 0.9436
O4 0.3102 0.1920 0.6017
```

(2)
Simulated PXRD pattern of LiFe2P2O8 for CuKα, from a GGA+U-relaxed structure.

Principal peaks in the range 10° ≤ 2θ ≤ 90°, by intensity:
2theta	intensity	hkl
21.42	100	1 1 0
34.52	49	2 0 0
15.43	46	0 1 1
23.20	41	1 1 1
22.98	35	1 1 -1
28.83	30	0 1 3
31.15	28	0 2 2
35.87	17	1 2 2
35.59	15	1 2 -2
59.72	15	0 2 6

Structural model:
```
data_LiFe2P2O8
_space_group_name_H-M_alt 'P 1 c 1'
_space_group_IT_number 7
_cell_length_a 5.1935
_cell_length_b 6.8883
_cell_length_c 10.4038
_cell_angle_alpha 90.00
_cell_angle_beta 90.94
_cell_angle_gamma 90.00
loop_
_space_group_symop_operation_xyz
'x,y,z'
'x,-y,z+1/2'
loop_
_atom_site_label
_atom_site_fract_x
_atom_site_fract_y
_atom_site_fract_z
Li1 0.0000 0.2490 0.0000
Fe1 0.0156 0.2467 0.5337
Fe2 0.5038 0.2272 0.1956
P1 0.0097 0.4865 0.2693
P2 0.5163 0.0196 0.4561
O1 0.2967 0.4378 0.2392
O2 0.3834 0.1638 0.0207
O3 0.3994 0.2050 0.5095
O4 0.4651 0.0106 0.3078
O5 0.8103 0.0034 0.4864
O6 0.8539 0.3185 0.1967
O7 0.9390 0.3169 0.7124
O8 0.9577 0.4862 0.4150
```

(3)
Simulated PXRD pattern of Li2FeP2O7 for CuKα, from a GGA+U-relaxed structure.

Principal peaks in the range 10° ≤ 2θ ≤ 90°, by intensity:
2theta	intensity	hkl
27.86	100	1 1 -2
28.69	93	3 1 -2
19.17	87	1 1 -1
13.79	58	2 0 0
26.03	47	3 1 0
34.65	39	2 0 2
42.40	36	4 2 0
33.27	27	3 1 1
27.28	16	4 0 -2
53.53	12	6 2 0

Structural model:
```
data_Li2FeP2O7
_space_group_name_H-M_alt 'C 1 2/c 1'
_space_group_IT_number 15
_cell_length_a 14.6350
_cell_length_b 5.7003
_cell_length_c 7.9537
_cell_angle_alpha 90.00
_cell_angle_beta 118.62
_cell_angle_gamma 90.00
loop_
_space_group_symop_operation_xyz
'x,y,z'
'-x,-y,-z'
'-x,y,-z+1/2'
'x,-y,z+1/2'
'x+1/2,y+1/2,z'
'-x+1/2,-y+1/2,-z'
'-x+1/2,y+1/2,-z+1/2'
'x+1/2,-y+1/2,z+1/2'
loop_
_atom_site_label
_atom_site_fract_x
_atom_site_fract_y
_atom_site_fract_z
Li1 0.2251 0.1752 0.3095
Fe1 0.0000 0.0000 0.0000
P1 0.1128 0.3576 0.8601
O1 0.0000 0.4899 0.7500
O2 0.1124 0.2247 0.0289
O3 0.1189 0.1858 0.7150
O4 0.1935 0.4508 0.4250
```

(4)
Simulated PXRD pattern of Li2FeP2O8 for CuKα, from a GGA+U-relaxed structure.

Principal peaks in the range 10° ≤ 2θ ≤ 90°, by intensity:
2theta	intensity	hkl
16.66	100	0 1 1
23.70	69	1 1 -1
25.40	62	1 1 1
33.68	50	0 2 2
24.45	46	0 2 1
36.06	39	1 3 0
32.48	28	1 1 -2
29.78	27	1 2 -1
23.18	26	1 0 1
31.17	22	1 2 1

Structural model:
```
data_Li2FeP2O8
_space_group_name_H-M_alt 'P 1 21 1'
_space_group_IT_number 4
_cell_length_a 4.9679
_cell_length_b 8.6461
_cell_length_c 6.7779
_cell_angle_alpha 90.00
_cell_angle_beta 94.96
_cell_angle_gamma 90.00
loop_
_space_group_symop_operation_xyz
'x,y,z'
'-x,y+1/2,-z'
loop_
_atom_site_label
_atom_site_fract_x
_atom_site_fract_y
_atom_site_fract_z
Li1 0.2415 0.0000 0.0756
Li2 0.2576 0.3541 0.7380
Fe1 0.2555 0.3539 0.2598
P1 0.2155 0.0334 0.5268
P2 0.2758 0.6771 0.9761
O1 0.0311 0.2111 0.0659
O2 0.0718 0.9838 0.7104
O3 0.0800 0.9652 0.3322
O4 0.2000 0.2126 0.5031
O5 0.3193 0.5006 0.0213
O6 0.3890 0.7826 0.1458
O7 0.4389 0.7112 0.7958
O8 0.4861 0.4808 0.4503
```

(5)
Simulated PXRD pattern of LiFe2P2O8 for CuKα, from a GGA+U-relaxed structure.

Principal peaks in the range 10° ≤ 2θ ≤ 90°, by intensity:
2theta	intensity	hkl
21.40	100	0 0 2
21.24	95	1 1 0
35.23	60	2 0 -4
34.79	22	0 2 0
41.76	13	2 0 2
41.22	13	2 2 -2
41.49	12	3 1 -4
26.91	11	1 1 1
55.49	11	2 0 -6
63.27	11	5 1 -6

Structural model:
```
data_LiFe2P2O8
_space_group_name_H-M_alt 'P 1 c 1'
_space_group_IT_number 7
_cell_length_a 8.7729
_cell_length_b 5.1572
_cell_length_c 10.1994
_cell_angle_alpha 90.00
_cell_angle_beta 125.38
_cell_angle_gamma 90.00
loop_
_space_group_symop_operation_xyz
'x,y,z'
'x,-y,z+1/2'
loop_
_atom_site_label
_atom_site_fract_x
_atom_site_fract_y
_atom_site_fract_z
Li1 0.0000 0.0708 0.0000
Fe1 0.0047 0.4524 0.7469
Fe2 0.5033 0.0410 0.2569
P1 0.2610 0.4686 0.6215
P2 0.7502 0.0554 0.1337
O1 0.0830 0.4261 0.1033
O2 0.2419 0.4922 0.9649
O3 0.2799 0.1708 0.6672
O4 0.4390 0.3887 0.2609
O5 0.5701 0.0403 0.6150
O6 0.7313 0.0057 0.4725
O7 0.7742 0.3449 0.1688
O8 0.9249 0.0934 0.7718
```